# Ta2Bi4O11
Theoretical X-ray powder pattern, λ = 1.5418 Å (Cu Kα). Input: a PBE-relaxed structure.
Intensities are scaled so that the largest is 100.

Crystal structure
Unit cell a=6.6587 b=7.7319 c=10.0537 alpha=78.97 beta=89.62 gamma=89.95
Positions (direct):
Ta  0.0853  0.2964  0.3137
Ta  0.0891  0.7973  0.3099
Ta  0.9109  0.2027  0.6901
Ta  0.9147  0.7036  0.6863
Bi  0.2388  0.6275  0.9788
Bi  0.2474  0.1283  0.9784
Bi  0.3869  0.4547  0.6706
Bi  0.4381  0.9524  0.6843
Bi  0.5619  0.0476  0.3157
Bi  0.6131  0.5453  0.3294
Bi  0.7526  0.8717  0.0216
Bi  0.7612  0.3725  0.0212
O  0.0036  0.2192  0.5004
O  0.0205  0.5468  0.3137
O  0.0925  0.3625  0.1001
O  0.1102  0.8311  0.1043
O  0.1596  0.0531  0.2895
O  0.2153  0.1490  0.7371
O  0.2179  0.7284  0.7366
O  0.3687  0.3400  0.3339
O  0.3694  0.7440  0.3478
O  0.4112  0.3924  0.8860
O  0.4563  0.9065  0.8979
O  0.5437  0.0935  0.1021
O  0.5888  0.6076  0.1140
O  0.6306  0.2560  0.6522
O  0.6313  0.6600  0.6661
O  0.7821  0.2716  0.2634
O  0.7847  0.8510  0.2629
O  0.8404  0.9469  0.7105
O  0.8898  0.1689  0.8957
O  0.9075  0.6375  0.8999
O  0.9795  0.4532  0.6863
O  0.9964  0.7808  0.4996

Principal peaks in the range 10 to 90 degrees two-theta, in order of rising 2θ:
3.295 Å, 27.06 deg, intensity 100; 3.289 Å, 27.11 deg, intensity 96; 3.161 Å, 28.23 deg, intensity 88; 2.981 Å, 29.97 deg, intensity 92; 2.975 Å, 30.04 deg, intensity 46; 2.751 Å, 32.54 deg, intensity 48; 2.555 Å, 35.12 deg, intensity 44; 1.916 Å, 47.44 deg, intensity 37



# TaBiO5
Theoretical X-ray powder pattern, λ = 1.5418 Å (Cu Kα). Input: a PBE-relaxed structure.
Intensities are scaled so that the largest is 100.

Crystal structure
Unit cell a=5.4839 b=9.8187 c=9.1741 alpha=90.00 beta=117.85 gamma=90.00
Positions (direct):
Ta  0.2374  0.0890  0.4905
Ta  0.2374  0.4110  0.9905
Ta  0.7626  0.5890  0.0095
Ta  0.7626  0.9110  0.5095
Bi  0.0121  0.1056  0.8698
Bi  0.0121  0.3944  0.3698
Bi  0.9879  0.6056  0.6302
Bi  0.9879  0.8944  0.1302
O  0.0915  0.0554  0.6452
O  0.0915  0.4446  0.1452
O  0.0994  0.6905  0.1789
O  0.0994  0.8095  0.6789
O  0.1904  0.5787  0.4800
O  0.1904  0.9213  0.9800
O  0.3673  0.5152  0.8484
O  0.3673  0.9848  0.3484
O  0.3723  0.2332  0.0247
O  0.3723  0.2668  0.5247
O  0.6277  0.7332  0.4753
O  0.6277  0.7668  0.9753
O  0.6327  0.0152  0.6516
O  0.6327  0.4848  0.1516
O  0.8096  0.0787  0.0200
O  0.8096  0.4213  0.5200
O  0.9006  0.1905  0.3211
O  0.9006  0.3095  0.8211
O  0.9085  0.5554  0.8548
O  0.9085  0.9446  0.3548

Principal peaks in the range 10 to 90 degrees two-theta, in order of rising 2θ:
4.849 Å, 18.30 deg, intensity 77; 4.200 Å, 21.15 deg, intensity 37; 3.887 Å, 22.88 deg, intensity 100; 2.852 Å, 31.37 deg, intensity 72; 2.713 Å, 33.02 deg, intensity 35; 2.607 Å, 34.40 deg, intensity 31; 2.589 Å, 34.65 deg, intensity 63; 2.116 Å, 42.73 deg, intensity 33



# TaBiO4
Theoretical X-ray powder pattern, λ = 1.5418 Å (Cu Kα). Input: a PBE-relaxed structure.
Intensities are scaled so that the largest is 100.

Crystal structure
Unit cell a=5.7373 b=11.8886 c=5.0503 alpha=90.00 beta=90.00 gamma=90.00
Positions (direct):
Ta  0.1360  0.2500  0.2500
Ta  0.3640  0.7500  0.2500
Ta  0.6360  0.2500  0.7500
Ta  0.8640  0.7500  0.7500
Bi  0.2500  0.0000  0.7195
Bi  0.2500  0.5000  0.7805
Bi  0.7500  0.0000  0.2805
Bi  0.7500  0.5000  0.2195
O  0.0834  0.0977  0.4090
O  0.0834  0.4023  0.0910
O  0.1455  0.6962  0.5058
O  0.1455  0.8038  0.9942
O  0.3545  0.1962  0.9942
O  0.3545  0.3038  0.5058
O  0.4166  0.5977  0.0910
O  0.4166  0.9023  0.4090
O  0.5834  0.0977  0.5910
O  0.5834  0.4023  0.9090
O  0.6455  0.6962  0.4942
O  0.6455  0.8038  0.0058
O  0.8545  0.1962  0.0058
O  0.8545  0.3038  0.4942
O  0.9166  0.5977  0.9090
O  0.9166  0.9023  0.5910

Principal peaks in the range 10 to 90 degrees two-theta, in order of rising 2θ:
3.612 Å, 24.65 deg, intensity 20; 3.196 Å, 27.91 deg, intensity 100; 2.972 Å, 30.07 deg, intensity 25; 2.525 Å, 35.55 deg, intensity 13; 1.924 Å, 47.23 deg, intensity 15; 1.756 Å, 52.08 deg, intensity 20; 1.559 Å, 59.28 deg, intensity 11; 1.162 Å, 83.10 deg, intensity 10



# TaBiO4
Theoretical X-ray powder pattern, λ = 1.5418 Å (Cu Kα). Input: a PBE-relaxed structure.
Intensities are scaled so that the largest is 100.

Crystal structure
Unit cell a=5.6177 b=7.7985 c=7.8389 alpha=77.95 beta=90.00 gamma=86.63
Positions (direct):
Ta  0.2231  0.1567  0.1917
Ta  0.2438  0.1725  0.6910
Ta  0.7562  0.8275  0.3090
Ta  0.7769  0.8433  0.8083
Bi  0.2320  0.6182  0.1195
Bi  0.2920  0.6659  0.6150
Bi  0.7080  0.3341  0.3850
Bi  0.7680  0.3818  0.8805
O  0.0097  0.6078  0.8212
O  0.0420  0.6722  0.3658
O  0.0783  0.9494  0.7239
O  0.1533  0.1806  0.9465
O  0.3036  0.1694  0.4497
O  0.4401  0.9562  0.2154
O  0.4411  0.3894  0.6744
O  0.4564  0.3457  0.1404
O  0.5436  0.6543  0.8596
O  0.5589  0.6106  0.3256
O  0.5599  0.0438  0.7846
O  0.6964  0.8306  0.5503
O  0.8467  0.8194  0.0535
O  0.9217  0.0506  0.2761
O  0.9580  0.3278  0.6342
O  0.9903  0.3922  0.1788

Principal peaks in the range 10 to 90 degrees two-theta, in order of rising 2θ:
3.241 Å, 27.52 deg, intensity 100; 3.183 Å, 28.03 deg, intensity 81; 3.146 Å, 28.37 deg, intensity 88; 3.094 Å, 28.85 deg, intensity 34; 3.065 Å, 29.14 deg, intensity 89; 3.037 Å, 29.41 deg, intensity 35; 2.804 Å, 31.92 deg, intensity 66; 2.456 Å, 36.58 deg, intensity 34



# Ta7BiO19
Theoretical X-ray powder pattern, λ = 1.5418 Å (Cu Kα). Input: a PBE-relaxed structure.
Intensities are scaled so that the largest is 100.

Crystal structure
Unit cell a=6.2730 b=6.2730 c=20.2173 alpha=90.00 beta=90.00 gamma=120.00
Positions (direct):
Ta  0.0000  0.0000  0.0000
Ta  0.0000  0.0000  0.5000
Ta  0.0264  0.3328  0.1563
Ta  0.0264  0.3328  0.3437
Ta  0.0264  0.6936  0.6563
Ta  0.0264  0.6936  0.8437
Ta  0.3064  0.3328  0.6563
Ta  0.3064  0.3328  0.8437
Ta  0.3064  0.9736  0.1563
Ta  0.3064  0.9736  0.3437
Ta  0.6672  0.6936  0.1563
Ta  0.6672  0.6936  0.3437
Ta  0.6672  0.9736  0.6563
Ta  0.6672  0.9736  0.8437
Bi  0.3333  0.6667  0.0000
Bi  0.3333  0.6667  0.5000
O  0.0000  0.0000  0.1672
O  0.0000  0.0000  0.3328
O  0.0000  0.0000  0.6672
O  0.0000  0.0000  0.8328
O  0.0457  0.2840  0.0565
O  0.0457  0.2840  0.4435
O  0.0457  0.7617  0.5565
O  0.0457  0.7617  0.9435
O  0.0828  0.3749  0.2500
O  0.0828  0.7079  0.7500
O  0.2383  0.2840  0.5565
O  0.2383  0.2840  0.9435
O  0.2383  0.9543  0.0565
O  0.2383  0.9543  0.4435
O  0.2921  0.3749  0.7500
O  0.2921  0.9172  0.2500
O  0.3333  0.6667  0.1337
O  0.3333  0.6667  0.3663
O  0.3333  0.6667  0.6337
O  0.3333  0.6667  0.8663
O  0.4195  0.0863  0.6534
O  0.4195  0.0863  0.8466
O  0.4195  0.3332  0.1534
O  0.4195  0.3332  0.3466
O  0.6251  0.7079  0.2500
O  0.6251  0.9172  0.7500
O  0.6668  0.0863  0.1534
O  0.6668  0.0863  0.3466
O  0.6668  0.5805  0.6534
O  0.6668  0.5805  0.8466
O  0.7160  0.7617  0.0565
O  0.7160  0.7617  0.4435
O  0.7160  0.9543  0.5565
O  0.7160  0.9543  0.9435
O  0.9137  0.3332  0.6534
O  0.9137  0.3332  0.8466
O  0.9137  0.5805  0.1534
O  0.9137  0.5805  0.3466

Principal peaks in the range 10 to 90 degrees two-theta, in order of rising 2θ:
5.433 Å, 16.32 deg, intensity 36; 3.370 Å, 26.45 deg, intensity 72; 3.099 Å, 28.80 deg, intensity 100; 2.996 Å, 29.83 deg, intensity 52; 2.665 Å, 33.63 deg, intensity 58; 2.478 Å, 36.25 deg, intensity 50; 1.811 Å, 50.39 deg, intensity 43; 1.595 Å, 57.81 deg, intensity 46



# Ta3Bi7O18
Theoretical X-ray powder pattern, λ = 1.5418 Å (Cu Kα). Input: a PBE-relaxed structure.
Intensities are scaled so that the largest is 100.

Crystal structure
Unit cell a=16.7453 b=16.7453 c=6.7140 alpha=93.63 beta=93.63 gamma=26.52
Positions (direct):
Ta  0.0000  0.5000  0.5000
Ta  0.1937  0.6944  0.8827
Ta  0.3056  0.8063  0.1173
Ta  0.5000  0.0000  0.5000
Ta  0.6944  0.1937  0.8827
Ta  0.8063  0.3056  0.1173
Bi  0.0515  0.0515  0.6519
Bi  0.1041  0.6053  0.1637
Bi  0.1467  0.1467  0.3175
Bi  0.2480  0.2480  0.0262
Bi  0.3384  0.3384  0.6887
Bi  0.3947  0.8959  0.8363
Bi  0.4437  0.4437  0.4075
Bi  0.5563  0.5563  0.5925
Bi  0.6053  0.1041  0.1637
Bi  0.6616  0.6616  0.3113
Bi  0.7520  0.7520  0.9738
Bi  0.8533  0.8533  0.6825
Bi  0.8959  0.3947  0.8363
Bi  0.9485  0.9485  0.3481
O  0.0185  0.6023  0.5718
O  0.0359  0.4453  0.7864
O  0.0687  0.0687  0.0600
O  0.1166  0.1166  0.6553
O  0.1502  0.7499  0.6062
O  0.1704  0.5924  0.8547
O  0.1707  0.1707  0.0062
O  0.2157  0.6414  0.1856
O  0.2206  0.7794  0.0000
O  0.2501  0.8498  0.3938
O  0.2641  0.2641  0.4590
O  0.3182  0.3182  0.0177
O  0.3586  0.7843  0.8144
O  0.3795  0.3795  0.4229
O  0.3977  0.9815  0.4282
O  0.4076  0.8296  0.1453
O  0.4453  0.0359  0.7864
O  0.4522  0.4522  0.8307
O  0.5478  0.5478  0.1693
O  0.5547  0.9641  0.2136
O  0.5924  0.1704  0.8547
O  0.6023  0.0185  0.5718
O  0.6205  0.6205  0.5771
O  0.6414  0.2157  0.1856
O  0.6818  0.6818  0.9823
O  0.7359  0.7359  0.5410
O  0.7499  0.1502  0.6062
O  0.7794  0.2206  0.0000
O  0.7843  0.3586  0.8144
O  0.8293  0.8293  0.9938
O  0.8296  0.4076  0.1453
O  0.8498  0.2501  0.3938
O  0.8834  0.8834  0.3447
O  0.9313  0.9313  0.9400
O  0.9641  0.5547  0.2136
O  0.9815  0.3977  0.4282

Principal peaks in the range 10 to 90 degrees two-theta, in order of rising 2θ:
3.249 Å, 27.45 deg, intensity 100; 3.171 Å, 28.14 deg, intensity 56; 3.049 Å, 29.29 deg, intensity 67; 2.881 Å, 31.05 deg, intensity 35; 2.770 Å, 32.31 deg, intensity 31; 2.619 Å, 34.24 deg, intensity 22; 1.931 Å, 47.07 deg, intensity 29; 1.654 Å, 55.56 deg, intensity 24



# Ta3Bi7O18
Theoretical X-ray powder pattern, λ = 1.5418 Å (Cu Kα). Input: a PBE-relaxed structure.
Intensities are scaled so that the largest is 100.

Crystal structure
Unit cell a=6.7036 b=7.6777 c=16.7835 alpha=103.17 beta=93.95 gamma=90.07
Positions (direct):
Ta  0.0000  0.0000  0.0000
Ta  0.0024  0.4980  0.0015
Ta  0.2328  0.6165  0.2267
Ta  0.2382  0.1121  0.2227
Ta  0.6349  0.8026  0.6050
Ta  0.6404  0.2988  0.6027
Bi  0.1052  0.0597  0.6108
Bi  0.1642  0.5463  0.6054
Bi  0.2795  0.9116  0.8267
Bi  0.2855  0.4122  0.8279
Bi  0.4288  0.9632  0.4282
Bi  0.4399  0.4492  0.3989
Bi  0.4738  0.2552  0.0114
Bi  0.5319  0.7515  0.0008
Bi  0.7145  0.8584  0.2227
Bi  0.7750  0.3690  0.2152
Bi  0.8111  0.1573  0.8126
Bi  0.8115  0.6401  0.7870
Bi  0.9414  0.7000  0.4268
Bi  0.9427  0.1932  0.3970
O  0.0484  0.2350  0.9720
O  0.1001  0.9793  0.4747
O  0.1126  0.0845  0.1107
O  0.1219  0.1367  0.7733
O  0.1251  0.5241  0.1091
O  0.1300  0.6293  0.7456
O  0.1383  0.4778  0.4568
O  0.1751  0.3746  0.2471
O  0.2702  0.1351  0.3470
O  0.2720  0.7161  0.3474
O  0.2842  0.8535  0.2044
O  0.3014  0.9477  0.9703
O  0.3016  0.5231  0.9686
O  0.3535  0.2586  0.6128
O  0.3593  0.8586  0.6180
O  0.4629  0.1938  0.8811
O  0.5089  0.1603  0.2085
O  0.5128  0.5593  0.2130
O  0.5435  0.6873  0.8728
O  0.5810  0.6998  0.4806
O  0.5862  0.2884  0.4824
O  0.6052  0.5657  0.6323
O  0.6923  0.0377  0.5768
O  0.6982  0.9365  0.3512
O  0.7080  0.3182  0.7242
O  0.7199  0.0514  0.0107
O  0.7231  0.4587  0.0148
O  0.7360  0.8994  0.7198
O  0.7750  0.4167  0.3452
O  0.9301  0.7395  0.5706
O  0.9317  0.6600  0.2468
O  0.9340  0.3315  0.5884
O  0.9348  0.0877  0.2542
O  0.9438  0.7551  0.0126
O  0.9708  0.4707  0.8729
O  0.9734  0.8965  0.8737

Principal peaks in the range 10 to 90 degrees two-theta, in order of rising 2θ:
3.260 Å, 27.36 deg, intensity 96; 3.239 Å, 27.53 deg, intensity 62; 3.173 Å, 28.12 deg, intensity 88; 3.045 Å, 29.34 deg, intensity 100; 2.885 Å, 31.00 deg, intensity 53; 2.761 Å, 32.42 deg, intensity 51; 2.624 Å, 34.17 deg, intensity 35; 1.928 Å, 47.15 deg, intensity 44



Which formula does entry 5 have? Ta7BiO19